[1]
For Sr2ZrGeS5, a structure optimized by DFT (GGA-PBE) gives the theoretical PXRD pattern in this record (Cu Kα (weighted mean of Kα1 and Kα2)).
Intensities are scaled so that the largest is 100.

Principal peaks in the range 2θ from 10° to 90°, low angle first:
hkl  d/Å  2theta  I/Imax
0 2 3  3.926  22.6  57.9
1 1 2  3.349  26.6  52.0
1 3 1  3.163  28.2  31.2
1 1 3  2.918  30.6  100.0
0 6 1  2.766  32.4  47.3
1 1 4  2.523  35.6  27.3
1 5 2  2.408  37.3  23.9
2 0 0  1.992  45.5  33.4
1 7 2  1.977  45.9  26.3
1 5 5  1.852  49.2  27.2

Atomic structure:
a = 3.9833 Å, b = 16.9686 Å, c = 13.2862 Å
α = 90.00°, β = 90.00°, γ = 90.00°
Space group Cmc2_1 (No. 36)
Unique sites:
Sr: 0.0000 0.0875 0.0000
Sr: 0.0000 0.1332 0.6551
Zr: 0.0000 0.2226 0.3841
Ge: 0.0000 0.4457 0.7933
S: 0.0000 0.0773 0.4136
S: 0.0000 0.2631 0.0179
S: 0.0000 0.3031 0.7571
S: 0.0000 0.3695 0.3376
S: 0.0000 0.4984 0.1164

---

[2]
For HoP12Ru4, a structure optimized by DFT (GGA-PBE) gives the theoretical PXRD pattern in this record (Cu Kα (weighted mean of Kα1 and Kα2)).
Intensities are scaled so that the largest is 100.

Principal peaks in the range 2θ from 10° to 90°, low angle first:
hkl  d/Å  2theta  I/Imax
1 1 0  5.710  15.5  23.2
2 0 0  4.037  22.0  14.7
2 2 0  2.855  31.3  100.0
3 0 1  2.553  35.1  46.8
3 1 2  2.158  41.9  35.5
4 0 0  2.019  44.9  15.3
4 2 0  1.806  50.6  23.5
4 2 2  1.648  55.8  54.5
4 3 1  1.584  58.3  24.1
6 0 2  1.277  74.3  21.3

Atomic structure:
a = 8.0748 Å, b = 8.0748 Å, c = 8.0748 Å
α = 90.00°, β = 90.00°, γ = 90.00°
Space group Im-3 (No. 204)
Unique sites:
Ho: 0.0000 0.0000 0.0000
P: 0.0000 0.3568 0.1426
Ru: 0.2500 0.2500 0.2500

---

[3]
For Tb6Y3Er2In, a structure optimized by DFT (GGA-PBE) gives the theoretical PXRD pattern in this record (Cu Kα (weighted mean of Kα1 and Kα2)).
Intensities are scaled so that the largest is 100.

Principal peaks in the range 2θ from 10° to 90°, low angle first:
hkl  d/Å  2theta  I/Imax
1 3 1  2.879  31.1  100.0
0 0 4  2.860  31.3  32.5
2 0 2  2.489  36.1  66.7
0 6 0  1.765  51.8  23.7
2 0 -6  1.756  52.1  23.1
2 6 -2  1.505  61.6  9.4
4 0 0  1.503  61.7  23.1
3 3 3  1.501  61.8  9.2
1 3 -7  1.496  62.0  13.5
4 0 -4  1.440  64.8  12.0

Atomic structure:
a = 6.1103 Å, b = 10.5935 Å, c = 11.6225 Å
α = 90.00°, β = 100.16°, γ = 90.00°
Space group C2/m (No. 12)
Unique sites:
Tb: 0.2460 0.1646 0.2452
Tb: 0.2475 0.0000 0.7536
Y: 0.0000 0.1669 0.5000
Y: 0.0000 0.5000 0.5000
Er: 0.0000 0.3338 0.0000
In: 0.0000 0.0000 0.0000

---

[4]
For Mn6Fe7, a structure optimized by DFT (GGA-PBE) gives the theoretical PXRD pattern in this record (Cu Kα (weighted mean of Kα1 and Kα2)).
Intensities are scaled so that the largest is 100.

Principal peaks in the range 2θ from 10° to 90°, low angle first:
hkl  d/Å  2theta  I/Imax
1 1 0  2.315  38.9  45.4
1 0 10  2.105  43.0  40.9
0 0 12  2.061  43.9  26.1
1 1 6  2.018  44.9  100.0
0 2 1  1.998  45.4  48.2
0 1 11  1.961  46.3  55.4
2 0 5  1.858  49.0  51.3
0 2 7  1.744  52.5  26.3
1 2 11  1.257  75.7  22.9
2 2 0  1.158  83.5  29.8

Atomic structure:
a = 4.6300 Å, b = 4.6300 Å, c = 24.7298 Å
α = 90.00°, β = 90.00°, γ = 120.00°
Space group R-3m (No. 166, hexagonal axes)
Unique sites:
Mn: 0.0000 0.0000 0.0454
Mn: 0.0000 0.0000 0.1495
Mn: 0.0000 0.0000 0.3345
Fe: 0.0000 0.0000 0.5000
Fe: 0.0035 0.5017 0.9133

---

[5]
For Nd2SmHoTe6, a structure optimized by DFT (GGA-PBE) gives the theoretical PXRD pattern in this record (Cu Kα (weighted mean of Kα1 and Kα2)).
Intensities are scaled so that the largest is 100.

Principal peaks in the range 2θ from 10° to 90°, low angle first:
hkl  d/Å  2theta  I/Imax
0 1 2  5.744  15.4  35.6
1 0 4  4.202  21.1  27.7
2 -1 3  3.444  25.9  97.9
0 2 4  2.872  31.1  24.7
2 -1 6  2.639  34.0  100.0
3 -1 4  2.320  38.8  19.9
3 0 0  2.272  39.7  65.7
1 1 9  2.032  44.6  22.3
2 2 6  1.722  53.2  26.1
5 -4 6  1.372  68.4  22.6

Atomic structure:
a = 7.8693 Å, b = 7.8693 Å, c = 21.3527 Å
α = 90.00°, β = 90.00°, γ = 120.00°
Space group R3 (No. 146, hexagonal axes)
Unique sites:
Nd: 0.0000 0.0000 0.0000
Nd: 0.0000 0.0000 0.4992
Sm: 0.0000 0.0000 0.1902
Ho: 0.0000 0.0000 0.6891
Te: 0.0288 0.3463 0.7636
Te: 0.0321 0.6771 0.2650

---

[6]
For PrThSi2, a structure optimized by DFT (GGA-PBE) gives the theoretical PXRD pattern in this record (Cu Kα (weighted mean of Kα1 and Kα2)).
Intensities are scaled so that the largest is 100.

Principal peaks in the range 2θ from 10° to 90°, low angle first:
hkl  d/Å  2theta  I/Imax
0 1 2  3.381  26.4  36.0
1 1 0  3.314  26.9  47.3
1 1 1  3.074  29.1  100.0
1 0 2  2.863  31.2  72.9
0 2 1  2.796  32.0  84.3
1 1 2  2.580  34.8  45.6
0 1 3  2.488  36.1  43.8
1 2 1  2.290  39.3  40.4
1 2 3  1.799  50.8  38.2
2 2 1  1.624  56.7  34.0

Atomic structure:
a = 3.9916 Å, b = 5.9467 Å, c = 8.2181 Å
α = 90.00°, β = 90.00°, γ = 90.00°
Space group Pmc2_1 (No. 26)
Unique sites:
Pr: 0.0000 0.1320 0.0000
Th: 0.5000 0.3696 0.6394
Si: 0.0000 0.3745 0.3565
Si: 0.5000 0.1298 0.2839

---

[7]
For KAc4Ge3O12, a structure optimized by DFT (GGA-PBE) gives the theoretical PXRD pattern in this record (Cu Kα (weighted mean of Kα1 and Kα2)).
Intensities are scaled so that the largest is 100.

Principal peaks in the range 2θ from 10° to 90°, low angle first:
hkl  d/Å  2theta  I/Imax
2 0 0  4.397  20.2  31.7
2 2 0  3.109  28.7  100.0
2 2 2  2.539  35.4  11.1
4 0 0  2.199  41.1  19.4
4 2 0  1.966  46.2  20.5
4 2 2  1.795  50.9  47.5
4 4 0  1.555  59.5  12.9
4 4 2  1.466  63.5  7.0
6 0 2  1.391  67.3  19.8
6 2 4  1.175  82.0  21.7

Atomic structure:
a = 8.7943 Å, b = 8.7943 Å, c = 8.7943 Å
α = 90.00°, β = 90.00°, γ = 90.00°
Space group Im-3 (No. 204)
Unique sites:
K: 0.0000 0.0000 0.0000
Ac: 0.2500 0.2500 0.2500
Ge: 0.0000 0.0000 0.5000
O: 0.0000 0.3455 0.1480